Record 1
Starting from a cell relaxed with GGA+U, the powder XRD pattern of Li4Fe2P4H3O16 was simulated for Cu Ka.
Kinematic intensities with the Lorentz-polarization factor, no thermal factor.

Cell and atoms:
abc: 4.9262 7.6812 8.3488
angles: 91.40 91.04 103.27
Space group P1 (No. 1)
Asymmetric unit:
Li 0.0000 0.0000 0.0000 (multiplicity 1)
Li 0.1905 0.2986 0.7492 (multiplicity 1)
Li 0.4878 0.4668 0.2227 (multiplicity 1)
Li 0.7260 0.8274 0.5198 (multiplicity 1)
Fe 0.1028 0.1497 0.3707 (multiplicity 1)
Fe 0.6046 0.6439 0.8754 (multiplicity 1)
P 0.2286 0.9012 0.7195 (multiplicity 1)
P 0.4908 0.8943 0.2032 (multiplicity 1)
P 0.7148 0.4017 0.5411 (multiplicity 1)
P 0.9821 0.3868 0.0233 (multiplicity 1)
H 0.0633 0.6199 0.4758 (multiplicity 1)
H 0.1468 0.6666 0.2525 (multiplicity 1)
H 0.5610 0.1246 0.8576 (multiplicity 1)
O 0.0886 0.3504 0.1905 (multiplicity 1)
O 0.1222 0.9490 0.5578 (multiplicity 1)
O 0.2282 0.4953 0.9244 (multiplicity 1)
O 0.2664 0.9989 0.1803 (multiplicity 1)
O 0.3459 0.7031 0.2835 (multiplicity 1)
O 0.3574 0.0866 0.8148 (multiplicity 1)
O 0.4540 0.7914 0.7006 (multiplicity 1)
O 0.4893 0.3215 0.4158 (multiplicity 1)
O 0.5911 0.4513 0.6993 (multiplicity 1)
O 0.6129 0.8441 0.0446 (multiplicity 1)
O 0.7181 0.9732 0.3282 (multiplicity 1)
O 0.7632 0.5050 0.0446 (multiplicity 1)
O 0.8593 0.5939 0.4625 (multiplicity 1)
O 0.8626 0.2110 0.9267 (multiplicity 1)
O 0.9410 0.2983 0.5630 (multiplicity 1)
O 0.9884 0.8055 0.8248 (multiplicity 1)

Main lines, low angle first (2θ from 5° to 70°):
2θ (°)  I/Imax  h k l
15.7  56  0 1 -1
16.2  44  0 1 1
22.3  63  -1 1 1
24.1  35  0 1 -2
24.3  100  1 1 0
24.7  27  0 1 2
28.7  83  1 -2 1
28.9  48  -1 2 1
31.7  35  0 2 -2
32.6  40  0 2 2

Record 2
Starting from a cell relaxed with GGA+U, the powder XRD pattern of EuMoO4 was simulated for Cu Ka.
Kinematic intensities with the Lorentz-polarization factor, no thermal factor.

Cell and atoms:
abc: 5.4171 5.4171 11.9181
angles: 90.00 90.00 90.00
Space group I4_1/a (No. 88, origin choice 2)
Asymmetric unit:
Eu 0.0000 0.2500 0.1250 (multiplicity 4)
Mo 0.0000 0.2500 0.6250 (multiplicity 4)
O 0.1404 0.0037 0.7072 (multiplicity 16)

Main lines, low angle first (2θ from 5° to 70°):
2θ (°)  I/Imax  h k l
18.0  4  1 0 1
27.7  100  1 1 2
30.0  15  0 0 4
33.1  22  2 0 0
37.9  4  1 2 1
45.2  30  2 0 4
47.5  12  2 2 0
51.8  17  1 1 6
55.8  28  3 1 2
57.2  12  2 2 4

Record 3
Starting from a cell relaxed with GGA+U, the powder XRD pattern of MgW2O4 was simulated for Cu Ka.
Kinematic intensities with the Lorentz-polarization factor, no thermal factor.

Cell and atoms:
abc: 2.8624 9.8266 10.6268
angles: 90.00 90.00 90.00
Space group Pbcm (No. 57)
Asymmetric unit:
Mg 0.2417 0.1682 0.2500 (multiplicity 4)
W 0.2545 0.5905 0.5633 (multiplicity 8)
O 0.2460 0.5570 0.1344 (multiplicity 8)
O 0.2479 0.2500 0.0000 (multiplicity 4)
O 0.2594 0.6799 0.7500 (multiplicity 4)

Main lines, low angle first (2θ from 5° to 70°):
2θ (°)  I/Imax  h k l
16.7  100  0 0 2
18.1  31  0 2 0
19.9  27  0 2 1
31.1  83  0 2 3
41.6  51  1 1 3
41.9  65  1 3 0
45.4  46  1 3 2
46.6  29  0 2 5
54.6  39  1 1 5
63.1  29  1 5 3

Record 4
Starting from a cell relaxed with GGA+U, the powder XRD pattern of BaYMgCrCuO5 was simulated for Cu Ka.
Kinematic intensities with the Lorentz-polarization factor, no thermal factor.

Cell and atoms:
abc: 3.7379 4.3479 9.2842
angles: 90.00 90.00 90.00
Space group Pmm2 (No. 25)
Asymmetric unit:
Ba 0.0000 0.0000 0.0000 (multiplicity 1)
Y 0.0000 0.0000 0.5900 (multiplicity 1)
Mg 0.0000 0.5000 0.2781 (multiplicity 1)
Cr 0.5000 0.5000 0.7894 (multiplicity 1)
Cu 0.5000 0.5000 0.5034 (multiplicity 1)
O 0.0000 0.5000 0.4946 (multiplicity 1)
O 0.0000 0.5000 0.8417 (multiplicity 1)
O 0.5000 0.0000 0.4506 (multiplicity 1)
O 0.5000 0.0000 0.7811 (multiplicity 1)
O 0.5000 0.5000 0.1733 (multiplicity 1)

Main lines, low angle first (2θ from 5° to 70°):
2θ (°)  I/Imax  h k l
9.5  95  0 0 1
19.1  67  0 0 2
28.1  74  0 1 2
30.7  42  1 0 2
31.6  100  1 1 0
35.6  76  0 1 3
37.2  93  1 1 2
37.7  84  1 0 3
41.5  65  0 2 0
57.4  47  1 2 3

Record 5
Starting from a cell relaxed with GGA+U, the powder XRD pattern of LiCo2OF3 was simulated for Cu Ka.
Kinematic intensities with the Lorentz-polarization factor, no thermal factor.

Cell and atoms:
abc: 6.0040 6.0040 15.4822
angles: 90.00 90.00 120.00
Space group R-3m (No. 166, hexagonal axes)
Asymmetric unit:
Li 0.0000 0.0000 0.1466 (multiplicity 6)
Co 0.0000 0.0000 0.5000 (multiplicity 3)
Co 0.0000 0.5000 0.0000 (multiplicity 9)
O 0.0000 0.0000 0.2738 (multiplicity 6)
F 0.0082 0.5041 0.2430 (multiplicity 18)

Main lines, low angle first (2θ from 5° to 70°):
2θ (°)  I/Imax  h k l
17.2  29  0 0 3
18.0  100  1 0 1
33.7  29  0 1 5
34.6  30  1 1 3
35.0  19  0 2 1
41.9  93  0 2 4
46.6  13  2 1 1
55.4  14  1 2 5
59.6  28  2 0 8
61.8  28  2 2 0

Record 6
Starting from a cell relaxed with GGA+U, the powder XRD pattern of NaCa3MgFeSi4O14 was simulated for Cu Ka.
Kinematic intensities with the Lorentz-polarization factor, no thermal factor.

Cell and atoms:
abc: 11.4219 10.1288 5.9195
angles: 90.00 90.00 90.00
Space group Pma2 (No. 28)
Asymmetric unit:
Na 0.2500 0.0126 0.0000 (multiplicity 2)
Ca 0.0994 0.3104 0.6460 (multiplicity 4)
Ca 0.2500 0.6959 0.9182 (multiplicity 2)
Mg 0.0000 0.5000 0.1336 (multiplicity 2)
Fe 0.0000 0.0000 0.3132 (multiplicity 2)
Si 0.1370 0.2836 0.1870 (multiplicity 4)
Si 0.2500 0.5464 0.4565 (multiplicity 2)
Si 0.2500 0.8155 0.4511 (multiplicity 2)
O 0.0340 0.3320 0.9903 (multiplicity 4)
O 0.0575 0.1772 0.3291 (multiplicity 4)
O 0.1385 0.4496 0.3028 (multiplicity 4)
O 0.1493 0.6740 0.4650 (multiplicity 4)
O 0.1541 0.9020 0.2813 (multiplicity 4)
O 0.2500 0.2463 0.9945 (multiplicity 2)
O 0.2500 0.2535 0.3915 (multiplicity 2)
O 0.2500 0.4796 0.7112 (multiplicity 2)
O 0.2500 0.8681 0.7149 (multiplicity 2)

Main lines, low angle first (2θ from 5° to 70°):
2θ (°)  I/Imax  h k l
8.7  34  0 1 0
15.0  100  0 0 1
17.4  24  0 1 1
23.4  56  2 1 1
25.0  87  3 1 0
28.0  26  2 2 1
32.5  39  1 1 2
34.4  24  2 3 1
35.3  25  2 1 2
36.0  48  4 2 0